Entry 1:
For Ge19Sb4I4, a GGA-PBE-relaxed structure gives the calculated X-ray diffraction stick pattern in this record (Cu Kα (weighted mean of Kα1 and Kα2)).

Cell and atoms:
Cell: 11.1033 11.1033 11.1033 Å, 90.00 90.00 90.00°
Space group P-43n (No. 218)
One atom of each set of equivalent atoms:
Ge: 0.0000 0.2500 0.5000
Ge: 0.0098 0.1147 0.6849
Ge: 0.1766 0.1766 0.8234
Sb: 0.1846 0.1846 0.1846
I: 0.0000 0.0000 0.0000
I: 0.0000 0.5000 0.2500

The 10 most intense peaks (5° ≤ 2θ ≤ 70°), most intense first:
hkl 3 2 1, 2θ 30.1, rel. 100; hkl 5 3 2, 2θ 50.7, rel. 45; hkl 5 3 0, 2θ 47.8, rel. 40; hkl 3 2 0, 2θ 29.0, rel. 29; hkl 2 2 2, 2θ 27.8, rel. 28; hkl 6 0 0, 2θ 49.2, rel. 21; hkl 3 3 0, 2θ 34.3, rel. 19; hkl 4 1 0, 2θ 33.3, rel. 12; hkl 5 3 1, 2θ 48.5, rel. 11; hkl 6 5 1, 2θ 66.3, rel. 10

***

Entry 2:
For LaSiP3, a GGA-PBE-relaxed structure gives the calculated X-ray diffraction stick pattern in this record (Cu Kα (weighted mean of Kα1 and Kα2)).

Cell and atoms:
Cell: 5.7222 25.7938 5.8010 Å, 90.00 90.00 90.00°
Space group Pbca (No. 61)
One atom of each set of equivalent atoms:
La: 0.0021 0.0915 0.9999
Si: 0.0809 0.7072 0.0851
P: 0.0043 0.1263 0.5036
P: 0.0261 0.2132 0.0443
P: 0.2483 0.0001 0.7485

The 10 most intense peaks (5° ≤ 2θ ≤ 70°), most intense first:
hkl 1 1 1, 2θ 22.1, rel. 100; hkl 1 5 1, 2θ 27.9, rel. 71; hkl 1 7 1, 2θ 32.8, rel. 60; hkl 2 0 2, 2θ 44.5, rel. 47; hkl 0 6 2, 2θ 37.4, rel. 40; hkl 2 0 0, 2θ 31.3, rel. 40; hkl 0 0 2, 2θ 30.8, rel. 39; hkl 1 11 1, 2θ 44.6, rel. 39; hkl 2 6 0, 2θ 37.8, rel. 39; hkl 0 6 0, 2θ 20.7, rel. 37

***

Entry 3:
For Lu5Sb3, a GGA-PBE-relaxed structure gives the calculated X-ray diffraction stick pattern in this record (Cu Kα (weighted mean of Kα1 and Kα2)).

Cell and atoms:
Cell: 7.9455 9.1638 11.5938 Å, 90.00 90.00 90.00°
Space group Pnma (No. 62)
One atom of each set of equivalent atoms:
Lu: 0.0272 0.2500 0.0097
Lu: 0.1447 0.7500 0.2850
Lu: 0.1864 0.2500 0.2810
Lu: 0.1944 0.0619 0.5607
Sb: 0.0662 0.0030 0.8264
Sb: 0.0897 0.7500 0.5411

The 10 most intense peaks (5° ≤ 2θ ≤ 70°), most intense first:
hkl 2 0 3, 2θ 32.3, rel. 100; hkl 2 2 2, 2θ 33.6, rel. 69; hkl 2 2 1, 2θ 30.8, rel. 67; hkl 1 0 4, 2θ 32.9, rel. 51; hkl 0 4 0, 2θ 39.3, rel. 31; hkl 3 0 1, 2θ 34.7, rel. 27; hkl 0 2 4, 2θ 36.7, rel. 22; hkl 5 2 1, 2θ 62.4, rel. 20; hkl 2 0 6, 2θ 52.7, rel. 17; hkl 4 0 3, 2θ 51.8, rel. 14

***

Entry 4:
For F, a GGA-PBE-relaxed structure gives the calculated X-ray diffraction stick pattern in this record (Cu Kα (weighted mean of Kα1 and Kα2)).

Cell and atoms:
Cell: 7.0802 4.1838 6.3757 Å, 90.00 90.00 90.00°
Space group Cmce (No. 64)
One atom of each set of equivalent atoms:
F: 0.0000 0.0875 0.0960

The 10 most intense peaks (5° ≤ 2θ ≤ 70°), most intense first:
hkl 1 1 1, 2θ 28.5, rel. 100; hkl 2 0 0, 2θ 25.2, rel. 71; hkl 3 1 1, 2θ 46.4, rel. 21; hkl 1 1 2, 2θ 37.7, rel. 21; hkl 4 0 0, 2θ 51.6, rel. 7; hkl 2 2 3, 2θ 68.3, rel. 7; hkl 0 0 2, 2θ 28.0, rel. 7; hkl 2 2 1, 2θ 52.8, rel. 7; hkl 3 1 2, 2θ 53.0, rel. 6; hkl 0 2 1, 2θ 45.6, rel. 6

***

Entry 5:
For SnMo3, a GGA-PBE-relaxed structure gives the calculated X-ray diffraction stick pattern in this record (Cu Kα (weighted mean of Kα1 and Kα2)).

Cell and atoms:
Cell: 3.3257 4.7261 8.8425 Å, 90.00 90.00 90.00°
Space group Cmmm (No. 65)
One atom of each set of equivalent atoms:
Sn: 0.0000 0.0000 0.0000
Mo: 0.0000 0.0000 0.5000
Mo: 0.0000 0.5000 0.2627

The 10 most intense peaks (5° ≤ 2θ ≤ 70°), most intense first:
hkl 1 1 2, 2θ 38.9, rel. 100; hkl 0 2 0, 2θ 38.1, rel. 27; hkl 0 0 4, 2θ 40.8, rel. 21; hkl 1 3 2, 2θ 69.3, rel. 18; hkl 0 2 4, 2θ 57.1, rel. 15; hkl 2 2 0, 2θ 69.1, rel. 9; hkl 2 0 0, 2θ 55.2, rel. 9; hkl 1 1 5, 2θ 62.7, rel. 2; hkl 0 0 3, 2θ 30.3, rel. 1; hkl 1 1 1, 2θ 34.5, rel. 1

***

Entry 6:
For Na3Pd, a GGA-PBE-relaxed structure gives the calculated X-ray diffraction stick pattern in this record (Cu Kα (weighted mean of Kα1 and Kα2)).

Cell and atoms:
Cell: 4.7506 4.7506 8.4045 Å, 90.00 90.00 90.00°
Space group I4/mmm (No. 139)
One atom of each set of equivalent atoms:
Na: 0.0000 0.0000 0.0000
Na: 0.0000 0.5000 0.2500
Pd: 0.0000 0.0000 0.5000

The 10 most intense peaks (5° ≤ 2θ ≤ 70°), most intense first:
hkl 1 1 2, 2θ 34.2, rel. 100; hkl 1 0 1, 2θ 21.5, rel. 70; hkl 2 0 0, 2θ 37.9, rel. 37; hkl 3 1 2, 2θ 66.0, rel. 27; hkl 2 1 1, 2θ 44.0, rel. 21; hkl 1 1 0, 2θ 26.5, rel. 21; hkl 2 0 4, 2θ 58.7, rel. 20; hkl 0 0 2, 2θ 21.1, rel. 18; hkl 1 0 3, 2θ 37.3, rel. 17; hkl 0 0 4, 2θ 43.0, rel. 13

***

Entry 7:
For V3AsN, a GGA-PBE-relaxed structure gives the calculated X-ray diffraction stick pattern in this record (Cu Kα (weighted mean of Kα1 and Kα2)).

Cell and atoms:
Cell: 3.1161 10.2278 7.5514 Å, 90.00 90.00 90.00°
Space group Cmcm (No. 63)
One atom of each set of equivalent atoms:
V: 0.0000 0.0435 0.2500
V: 0.0000 0.3756 0.0483
As: 0.0000 0.2578 0.7500
N: 0.0000 0.0000 0.0000

The 10 most intense peaks (5° ≤ 2θ ≤ 70°), most intense first:
hkl 1 3 1, 2θ 41.0, rel. 100; hkl 0 4 2, 2θ 42.7, rel. 69; hkl 1 1 2, 2θ 38.5, rel. 53; hkl 1 3 0, 2θ 39.2, rel. 52; hkl 1 1 3, 2θ 47.3, rel. 52; hkl 0 2 3, 2θ 39.9, rel. 38; hkl 2 0 0, 2θ 59.3, rel. 35; hkl 0 0 4, 2θ 48.2, rel. 26; hkl 1 1 1, 2θ 32.3, rel. 20; hkl 0 2 2, 2θ 29.4, rel. 16